Cd3H2CSeO8: simulated powder diffractogram (Cu Kα (λ = 1.5418 Å)), based on the GGA-PBE geometry in the Materials Project.
Kinematic intensities with the Lorentz-polarization factor, no thermal factor.

Structural model:
Cell: 6.689 10.651 10.574 Å, 90.00 90.00 90.00°
Fractional coordinates of all 60 atoms:
Cd: 0.030 0.045 0.167
Cd: 0.030 0.455 0.167
Cd: 0.249 0.750 0.374
Cd: 0.251 0.250 0.874
Cd: 0.470 0.545 0.667
Cd: 0.470 0.955 0.667
Cd: 0.530 0.045 0.333
Cd: 0.530 0.455 0.333
Cd: 0.749 0.750 0.126
Cd: 0.751 0.250 0.626
Cd: 0.970 0.545 0.833
Cd: 0.970 0.955 0.833
H: 0.142 0.510 0.404
H: 0.142 0.990 0.404
H: 0.358 0.010 0.904
H: 0.358 0.490 0.904
H: 0.642 0.510 0.096
H: 0.642 0.990 0.096
H: 0.858 0.010 0.596
H: 0.858 0.490 0.596
C: 0.125 0.750 0.648
C: 0.375 0.250 0.148
C: 0.625 0.750 0.852
C: 0.875 0.250 0.352
Se: 0.248 0.750 0.026
Se: 0.252 0.250 0.526
Se: 0.748 0.750 0.474
Se: 0.752 0.250 0.974
O: 0.047 0.750 0.762
O: 0.074 0.629 0.040
O: 0.074 0.871 0.040
O: 0.119 0.250 0.664
O: 0.162 0.644 0.592
O: 0.162 0.856 0.592
O: 0.211 0.537 0.327
O: 0.211 0.963 0.327
O: 0.289 0.037 0.827
O: 0.289 0.463 0.827
O: 0.338 0.144 0.092
O: 0.338 0.356 0.092
O: 0.381 0.750 0.164
O: 0.426 0.129 0.540
O: 0.426 0.371 0.540
O: 0.453 0.250 0.262
O: 0.547 0.750 0.738
O: 0.574 0.629 0.460
O: 0.574 0.871 0.460
O: 0.619 0.250 0.836
O: 0.662 0.644 0.908
O: 0.662 0.856 0.908
O: 0.711 0.537 0.173
O: 0.711 0.963 0.173
O: 0.789 0.037 0.673
O: 0.789 0.463 0.673
O: 0.838 0.144 0.408
O: 0.838 0.356 0.408
O: 0.881 0.750 0.336
O: 0.926 0.129 0.960
O: 0.926 0.371 0.960
O: 0.953 0.250 0.238

Most intense lines, 2θ = 15–90°, by angle:
2θ = 15.7°, d 5.653, I 48, (1 0 1)
2θ = 23.0°, d 3.875, I 38, (1 2 1)
2θ = 23.7°, d 3.752, I 40, (0 2 2)
2θ = 26.5°, d 3.366, I 52, (0 3 1)
2θ = 29.2°, d 3.055, I 43, (2 1 1)
2θ = 29.9°, d 2.993, I 54, (1 1 3)
2θ = 31.6°, d 2.831, I 100, (2 2 0)
2θ = 33.3°, d 2.693, I 71, (1 2 3)